Calculated PXRD pattern of Nd10As8Au3O10 for copper Kα, from the PBE geometry in OQMD.
No peak broadening, texture or thermal motion is included.

Crystal structure
```
data_Nd10As8Au3O10
_chemical_formula_sum 'Nd20 As16 Au6 O20'
_cell_length_a 9.207
_cell_length_b 9.207
_cell_length_c 14.636
_cell_angle_alpha 90.00
_cell_angle_beta 90.00
_cell_angle_gamma 90.00
_space_group_name_H-M_alt 'I 4/m'
_space_group_IT_number 87
_space_group_name_Hall '-I 4'
loop_
_atom_site_label
_atom_site_type_symbol
_atom_site_fract_x
_atom_site_fract_y
_atom_site_fract_z
_atom_site_occupancy
Nd1 Nd 0.000 0.000 0.162 1
Nd2 Nd 0.099 0.295 0.325 1
As1 As 0.091 0.770 0.000 1
As2 As 0.130 0.751 0.500 1
Au1 Au 0.000 0.000 0.500 1
Au2 Au 0.000 0.500 0.000 1
O1 O 0.000 0.500 0.250 1
O2 O 0.101 0.802 0.245 1
```

Peak list (10 most intense, 2θ = 5–70°, by angle)
2θ 22.43, d 3.963, I = 13
2θ 28.36, d 3.147, I = 100
2θ 33.12, d 2.705, I = 43
2θ 36.85, d 2.439, I = 26
2θ 39.56, d 2.278, I = 28
2θ 43.98, d 2.059, I = 40
2θ 53.17, d 1.723, I = 28
2θ 58.68, d 1.573, I = 27
2θ 59.69, d 1.549, I = 15
2θ 63.96, d 1.456, I = 10